Na4EuSi2Te6: calculated XRD peak list (Cu Kα, 1.54184 Å), based on a structure optimized by DFT (GGA-PBE).
Neutral-atom scattering factors, no anomalous dispersion.

The 10 most intense peaks (15 to 90 degrees two-theta), by angle:
21.9 deg, d 4.063, rel. 15
24.2 deg, d 3.674, rel. 25
27.4 deg, d 3.257, rel. 100
37.6 deg, d 2.390, rel. 37
40.5 deg, d 2.225, rel. 36
46.5 deg, d 1.951, rel. 10
49.6 deg, d 1.837, rel. 18
56.5 deg, d 1.629, rel. 10
61.8 deg, d 1.500, rel. 16
65.9 deg, d 1.417, rel. 21

Atomic structure:
```
data_Na4EuSi2Te6
_chemical_formula_sum 'Na8 Eu2 Si4 Te12'
_cell_length_a 7.7061
_cell_length_b 13.3498
_cell_length_c 8.5230
_cell_angle_alpha 90.00
_cell_angle_beta 107.54
_cell_angle_gamma 90.00
_symmetry_space_group_name_H-M 'C 1 2 1'
_symmetry_Int_Tables_number 5
_symmetry_space_group_name_Hall 'C 2y'
loop_
_atom_site_label
_atom_site_fract_x
_atom_site_fract_y
_atom_site_fract_z
Na1 0.0000 0.0000 0.0000
Na2 0.0000 0.1672 0.5000
Na3 0.0000 0.5030 0.5000
Na4 0.0000 0.8308 0.5000
Eu1 0.0000 0.3345 0.0000
Si1 0.0477 0.6670 0.1457
Te1 0.2346 0.6677 0.7600
Te2 0.2359 0.5101 0.2448
Te3 0.2383 0.8232 0.2435
```

Na2EuZn: calculated XRD peak list (Cu Kα, 1.54184 Å), based on a structure optimized by DFT (GGA-PBE).
Neutral-atom scattering factors, no anomalous dispersion.

The 10 most intense peaks (15 to 90 degrees two-theta), by angle:
28.9 deg, d 3.087, rel. 26
29.2 deg, d 3.053, rel. 100
29.9 deg, d 2.989, rel. 32
30.5 deg, d 2.929, rel. 53
35.2 deg, d 2.549, rel. 61
38.4 deg, d 2.345, rel. 63
46.0 deg, d 1.975, rel. 17
51.1 deg, d 1.789, rel. 27
53.5 deg, d 1.714, rel. 22
60.3 deg, d 1.535, rel. 25

Atomic structure:
```
data_Na2EuZn
_chemical_formula_sum 'Na6 Eu3 Zn3'
_cell_length_a 3.5780
_cell_length_b 3.5780
_cell_length_c 35.8714
_cell_angle_alpha 90.00
_cell_angle_beta 90.00
_cell_angle_gamma 120.00
_symmetry_space_group_name_H-M 'R -3 m'
_symmetry_Int_Tables_number 166
_symmetry_space_group_name_Hall '-R 3 2"'
loop_
_atom_site_label
_atom_site_fract_x
_atom_site_fract_y
_atom_site_fract_z
Na1 0.0000 0.0000 0.0998
Eu1 0.0000 0.0000 0.0000
Zn1 0.0000 0.0000 0.5000
```